Entry 1:
Starting from a structure optimized by DFT (GGA-PBE), the XRD peak list of Na2SnO3 was simulated for Cu Ka.
Kinematic intensities with the Lorentz-polarization factor, no thermal factor.

Cell and atoms:
```
data_Na2SnO3
_cell_length_a 5.6052
_cell_length_b 5.6052
_cell_length_c 11.1899
_cell_angle_alpha 90.00
_cell_angle_beta 90.00
_cell_angle_gamma 120.00
_symmetry_space_group_name_H-M 'P 63/m c m'
_symmetry_Int_Tables_number 193
_symmetry_space_group_name_Hall '-P 6c 2'
loop_
_atom_site_label
_atom_site_type_symbol
_atom_site_fract_x
_atom_site_fract_y
_atom_site_fract_z
Na1 Na 0.0000 0.0000 0.0000
Na2 Na 0.0000 0.3218 0.2500
Sn1 Sn 0.3333 0.6667 0.0000
O1 O 0.0000 0.3692 0.6052
```

Main lines, in order of rising 2θ (10 to 90 degrees two-theta):
- 15.84 deg, d = 5.595 Å, I 68, hkl 0 0 2
- 18.28 deg, d = 4.854 Å, I 35, hkl 1 0 0
- 31.96 deg, d = 2.801 Å, I 43, hkl 0 0 4
- 35.84 deg, d = 2.506 Å, I 100, hkl 1 1 2
- 45.83 deg, d = 1.980 Å, I 43, hkl 1 1 4
- 59.52 deg, d = 1.553 Å, I 42, hkl 1 1 6

---

Entry 2:
Starting from a structure optimized by DFT (GGA-PBE), the XRD peak list of Na2Sn4O9 was simulated for Cu Ka.
Kinematic intensities with the Lorentz-polarization factor, no thermal factor.

Cell and atoms:
```
data_Na2Sn4O9
_cell_length_a 5.5058
_cell_length_b 5.5058
_cell_length_c 14.7459
_cell_angle_alpha 90.00
_cell_angle_beta 90.00
_cell_angle_gamma 120.00
_symmetry_space_group_name_H-M 'P -3 c 1'
_symmetry_Int_Tables_number 165
_symmetry_space_group_name_Hall '-P 3 2"c'
loop_
_atom_site_label
_atom_site_type_symbol
_atom_site_fract_x
_atom_site_fract_y
_atom_site_fract_z
Na1 Na 0.0000 0.0000 0.1476
Sn1 Sn 0.3333 0.6667 0.0240
Sn2 Sn 0.3333 0.6667 0.3121
O1 O 0.0000 0.3391 0.2500
O2 O 0.0398 0.3994 0.9205
```

Main lines, in order of rising 2θ (10 to 90 degrees two-theta):
- 18.61 deg, d = 4.768 Å, I 63, hkl 1 0 0
- 30.65 deg, d = 2.916 Å, I 100, hkl 1 0 4
- 32.53 deg, d = 2.753 Å, I 78, hkl 1 1 0
- 45.30 deg, d = 2.002 Å, I 41, hkl 0 2 4
- 49.73 deg, d = 1.833 Å, I 38, hkl 1 1 6
- 56.87 deg, d = 1.619 Å, I 42, hkl 2 1 4